1.
SrGe3Cl8: calculated XRD peak list (λ = 1.5418 Å (Cu Kα)), based on the PBE geometry in Alexandria.
Peak positions follow from Bragg's law for the DFT cell and can differ from measured ones.

Principal peaks in the range 2θ = 10–90°, low angle first:
2θ = 17.12°, I = 1000
2θ = 20.45°, I = 545
2θ = 20.96°, I = 597
2θ = 22.79°, I = 411
2θ = 31.87°, I = 374
2θ = 32.60°, I = 731

```
SrGe3Cl8
1.0
8.4857 -2.7468 0.0000
8.4857 2.7468 0.0000
-3.8743 0.0000 8.6844
Sr Ge Cl
1 3 8
direct
0.0000 0.0000 0.0000
0.1153 0.1153 0.5867
0.3173 0.3173 0.0620
0.4280 0.4280 0.6158
0.1025 0.1025 0.3289
0.1660 0.1660 0.9569
0.2649 0.2649 0.6886
0.3294 0.3294 0.3212
0.5002 0.5002 0.9334
0.5655 0.5655 0.5891
0.8433 0.8433 0.0510
0.9311 0.9311 0.6560
```

2.
SrGeCl4: calculated XRD peak list (λ = 1.5418 Å (Cu Kα)), based on the PBE geometry in Alexandria.
Peak positions follow from Bragg's law for the DFT cell and can differ from measured ones.

Principal peaks in the range 2θ = 10–90°, low angle first:
2θ = 19.22°, I = 1000
2θ = 22.79°, I = 816
2θ = 24.96°, I = 544
2θ = 34.63°, I = 552
2θ = 35.86°, I = 583
2θ = 39.01°, I = 536

```
SrGeCl4
1.0
9.2372 0.0000 0.0000
0.0000 7.7354 0.0000
0.0000 0.0000 5.1800
Sr Ge Cl
2 2 8
direct
0.0000 0.0458 0.0000
0.5000 0.9542 0.5000
0.0000 0.6154 0.4734
0.5000 0.3846 0.9734
0.0000 0.2474 0.4904
0.0000 0.6477 0.9344
0.1880 0.8497 0.4409
0.3120 0.1503 0.9409
0.5000 0.3523 0.4344
0.5000 0.7526 0.9904
0.6880 0.1503 0.9409
0.8120 0.8497 0.4409
```

3.
TiGe3Cl9: calculated XRD peak list (λ = 1.5418 Å (Cu Kα)), based on the PBE geometry in Alexandria.
Peak positions follow from Bragg's law for the DFT cell and can differ from measured ones.

Principal peaks in the range 2θ = 10–90°, low angle first:
2θ = 13.61°, I = 784
2θ = 16.22°, I = 584
2θ = 17.11°, I = 561
2θ = 18.47°, I = 829
2θ = 21.07°, I = 715
2θ = 29.75°, I = 1000

```
TiGe3Cl9
1.0
9.6578 -4.0514 0.0000
9.6578 4.0514 0.0000
-4.2097 0.0000 10.3625
Ti Ge Cl
2 6 18
direct
0.2353 0.7647 0.5000
0.7647 0.2353 0.0000
0.1483 0.3333 0.2237
0.3333 0.1483 0.7237
0.5639 0.7485 0.2445
0.7485 0.5639 0.7445
0.8980 0.9154 0.2074
0.9154 0.8980 0.7074
0.0529 0.5035 0.0797
0.0642 0.1524 0.0694
0.1524 0.0642 0.5694
0.2124 0.7792 0.2753
0.2184 0.7860 0.7239
0.3031 0.4946 0.4432
0.4946 0.3031 0.9432
0.5035 0.0529 0.5797
0.5538 0.8797 0.8394
0.5545 0.6208 0.5332
0.5570 0.9447 0.1880
0.6208 0.5545 0.0332
0.7792 0.2124 0.7753
0.7860 0.2184 0.2239
0.8797 0.5538 0.3394
0.9016 0.9484 0.4367
0.9447 0.5570 0.6880
0.9484 0.9016 0.9367
```

4.
Tl5GeCl8: calculated XRD peak list (λ = 1.5418 Å (Cu Kα)), based on the PBE geometry in Alexandria.
Peak positions follow from Bragg's law for the DFT cell and can differ from measured ones.

Principal peaks in the range 2θ = 10–90°, low angle first:
2θ = 11.85°, I = 193
2θ = 22.79°, I = 1000
2θ = 23.82°, I = 227
2θ = 36.03°, I = 309
2θ = 39.31°, I = 190
2θ = 39.43°, I = 378

```
Tl5GeCl8
1.0
-4.5836 4.5836 6.4445
4.5836 -4.5836 6.4445
4.5836 4.5836 -6.4445
Tl Ge Cl
5 1 8
direct
0.0000 0.0000 0.0000
0.1167 0.3710 0.7433
0.6266 0.8833 0.2543
0.6276 0.3734 0.2567
0.6290 0.3724 0.7457
0.2500 0.7500 0.5000
0.3528 0.6457 0.2902
0.3543 0.6445 0.7071
0.3555 0.0626 0.7098
0.4173 0.1392 0.2800
0.8593 0.1373 0.7200
0.8608 0.1407 0.2781
0.8627 0.5827 0.7219
0.9374 0.6472 0.2929
```